Tm6In4Pb7: calculated XRD peak list (Cu Kα), based on a cell relaxed with PBE.
No peak broadening, texture or thermal motion is included.

Structural model:
```
17
Lattice="-4.9735 4.9735 4.9735 4.9735 -4.9735 4.9735 4.9735 4.9735 -4.9735" Properties=species:S:1:pos:R:3 pbc="T T T"
Tm 2.8991 0.0000 0.0000
Tm 7.0479 0.0000 0.0000
Tm 0.0000 2.8991 0.0000
Tm 0.0000 0.0000 2.8991
Tm 0.0000 7.0479 0.0000
Tm 0.0000 0.0000 7.0479
In 2.4867 2.4867 -2.4867
In 2.4867 -2.4867 2.4867
In -2.4867 2.4867 2.4867
In 2.4867 2.4867 2.4867
Pb 0.0000 0.0000 0.0000
Pb 4.9735 2.4867 0.0000
Pb 4.9735 0.0000 2.4867
Pb 2.4867 4.9735 0.0000
Pb 2.4867 0.0000 4.9735
Pb 0.0000 4.9735 2.4867
Pb 0.0000 2.4867 4.9735
```

Largest 10 diffraction maxima, by angle, 2θ = 10–90°:
2θ/deg	I (rel.)
17.83	14
31.15	100
33.71	20
36.12	68
42.63	15
52.01	43
61.87	33
64.95	13
69.43	11
87.77	16